1.
Simulated powder XRD pattern
Compound: Cd5CuAu2
Radiation: Cu Kα X-rays
Structure: a cell relaxed with GGA-PBE
Kinematic intensities with the Lorentz-polarization factor, no thermal factor.

Top 12 peaks for 5 to 70 degrees two-theta, in order of falling intensity:
2θ = 38.75°, intensity 100; 2θ = 37.04°, intensity 49; 2θ = 41.24°, intensity 34; 2θ = 33.12°, intensity 26; 2θ = 26.55°, intensity 18; 2θ = 54.68°, intensity 15; 2θ = 69.02°, intensity 15; 2θ = 24.17°, intensity 15; 2θ = 57.87°, intensity 12; 2θ = 22.09°, intensity 12; 2θ = 22.62°, intensity 9; 2θ = 19.45°, intensity 9

Cell and atoms:
abc: 4.647 4.647 18.258
angles: 90.00 90.00 120.00
Fractional coordinates of all 16 atoms:
Cd1 0.000 0.000 0.163
Cd2 0.000 0.000 0.337
Cd3 0.000 0.000 0.663
Cd4 0.000 0.000 0.837
Cd5 0.333 0.667 0.050
Cd6 0.333 0.667 0.250
Cd7 0.333 0.667 0.450
Cd8 0.667 0.333 0.550
Cd9 0.667 0.333 0.750
Cd10 0.667 0.333 0.950
Cu1 0.333 0.667 0.750
Cu2 0.667 0.333 0.250
Au1 0.333 0.667 0.606
Au2 0.333 0.667 0.894
Au3 0.667 0.333 0.106
Au4 0.667 0.333 0.394


2.
Simulated powder XRD pattern
Compound: Cd2CuAu2
Radiation: Cu Kα X-rays
Structure: a cell relaxed with GGA-PBE
Kinematic intensities with the Lorentz-polarization factor, no thermal factor.

Top 12 peaks for 5 to 70 degrees two-theta, in order of falling intensity:
2θ = 37.41°, intensity 100; 2θ = 36.50°, intensity 66; 2θ = 34.70°, intensity 38; 2θ = 38.31°, intensity 25; 2θ = 44.84°, intensity 20; 2θ = 63.98°, intensity 18; 2θ = 27.52°, intensity 16; 2θ = 51.35°, intensity 16; 2θ = 43.95°, intensity 14; 2θ = 63.37°, intensity 13; 2θ = 62.32°, intensity 11; 2θ = 13.66°, intensity 10

Cell and atoms:
abc: 7.511 7.511 7.511
angles: 136.61 60.68 139.74
Fractional coordinates of all 10 atoms:
Cd1 0.105 0.141 0.246
Cd2 0.395 0.641 0.036
Cd3 0.605 0.359 0.964
Cd4 0.895 0.859 0.754
Cu1 0.250 0.750 0.500
Cu2 0.750 0.250 0.500
Au1 0.174 0.653 0.827
Au2 0.326 0.153 0.480
Au3 0.674 0.847 0.520
Au4 0.826 0.347 0.173


Q: Number 1 is which compound?
A: Cd5CuAu2


Q: What is the formula in the second record?
A: Cd2CuAu2